The following is a simulated powder diffraction line list of KCd3. It was derived from a structure optimized by DFT (PBE), using Cu Ka.

```
data_KCd3
_chemical_formula_sum 'K4 Cd12'
_space_group_name_H-M_alt 'F m -3 m'
_space_group_IT_number 225
_space_group_name_Hall '-F 4 2 3'
_cell_length_a 7.8215
_cell_length_b 7.8215
_cell_length_c 7.8215
_cell_angle_alpha 90.00
_cell_angle_beta 90.00
_cell_angle_gamma 90.00
loop_
_atom_site_label
_atom_site_fract_x
_atom_site_fract_y
_atom_site_fract_z
K1 0.0000 0.0000 0.0000
Cd1 0.0000 0.0000 0.5000
Cd2 0.2500 0.2500 0.2500
```

Top 12 peaks for 2θ = 15–90°, sorted by position:
- hkl 1 1 1, 2θ 19.7, d = 4.516 Å, rel. 81
- hkl 2 0 0, 2θ 22.7, d = 3.911 Å, rel. 44
- hkl 2 2 0, 2θ 32.4, d = 2.765 Å, rel. 1000
- hkl 3 1 1, 2θ 38.2, d = 2.358 Å, rel. 48
- hkl 4 0 0, 2θ 46.4, d = 1.955 Å, rel. 176
- hkl 3 3 1, 2θ 50.9, d = 1.794 Å, rel. 21
- hkl 4 2 0, 2θ 52.3, d = 1.749 Å, rel. 19
- hkl 4 2 2, 2θ 57.7, d = 1.597 Å, rel. 355
- hkl 5 1 1, 2θ 61.6, d = 1.505 Å, rel. 16
- hkl 4 4 0, 2θ 67.8, d = 1.383 Å, rel. 107
- hkl 6 2 0, 2θ 77.1, d = 1.237 Å, rel. 147
- hkl 4 4 4, 2θ 86.1, d = 1.129 Å, rel. 37

***

The following is a simulated powder diffraction line list of Ti2C2O9. It was derived from a structure optimized by DFT (PBE), using Cu Ka.

```
data_Ti2C2O9
_chemical_formula_sum 'Ti16 C16 O72'
_space_group_name_H-M_alt 'C m c e'
_space_group_IT_number 64
_space_group_name_Hall '-C 2ac 2'
_cell_length_a 15.6521
_cell_length_b 11.0491
_cell_length_c 9.7993
_cell_angle_alpha 90.00
_cell_angle_beta 90.00
_cell_angle_gamma 90.00
loop_
_atom_site_label
_atom_site_fract_x
_atom_site_fract_y
_atom_site_fract_z
Ti1 0.1825 0.1417 0.0970
C1 0.0000 0.1119 0.1694
C2 0.0000 0.1824 0.0330
O1 0.0727 0.0853 0.2167
O2 0.0725 0.2060 0.9828
O3 0.1488 0.1979 0.6892
O4 0.1849 0.0000 0.0000
O5 0.2500 0.1207 0.2500
O6 0.2500 0.2500 0.0000
```

Top 12 peaks for 2θ = 15–90°, sorted by position:
- hkl 0 2 0, 2θ 16.0, d = 5.525 Å, rel. 364
- hkl 0 2 1, 2θ 18.4, d = 4.812 Å, rel. 1000
- hkl 1 1 2, 2θ 20.6, d = 4.306 Å, rel. 513
- hkl 3 1 1, 2θ 20.9, d = 4.251 Å, rel. 380
- hkl 3 1 2, 2θ 26.2, d = 3.398 Å, rel. 574
- hkl 1 3 1, 2θ 26.5, d = 3.367 Å, rel. 256
- hkl 5 1 1, 2θ 31.1, d = 2.879 Å, rel. 218
- hkl 2 2 3, 2θ 33.9, d = 2.646 Å, rel. 165
- hkl 5 1 2, 2θ 35.0, d = 2.566 Å, rel. 212
- hkl 6 2 3, 2θ 47.5, d = 1.912 Å, rel. 262
- hkl 0 6 1, 2θ 50.4, d = 1.811 Å, rel. 161
- hkl 3 3 5, 2θ 56.0, d = 1.642 Å, rel. 194

***

The following is a simulated powder diffraction line list of GaNi3. It was derived from a structure optimized by DFT (PBE), using Cu Ka.

```
data_GaNi3
_chemical_formula_sum 'Ga1 Ni3'
_space_group_name_H-M_alt 'P m -3 m'
_space_group_IT_number 221
_space_group_name_Hall '-P 4 2 3'
_cell_length_a 3.5744
_cell_length_b 3.5744
_cell_length_c 3.5744
_cell_angle_alpha 90.00
_cell_angle_beta 90.00
_cell_angle_gamma 90.00
loop_
_atom_site_label
_atom_site_fract_x
_atom_site_fract_y
_atom_site_fract_z
Ga1 0.0000 0.0000 0.0000
Ni1 0.0000 0.5000 0.5000
```

Top 3 peaks for 2θ = 15–90°, sorted by position:
- hkl 1 1 1, 2θ 43.9, d = 2.064 Å, rel. 1000
- hkl 2 0 0, 2θ 51.1, d = 1.787 Å, rel. 467
- hkl 2 2 0, 2θ 75.2, d = 1.264 Å, rel. 273